# 1
Computed X-ray powder pattern
Compound: La4CoO8
Radiation: copper Kα
Structure: the GGA+U geometry in the Materials Project

Structure:
Unit cell a=13.3441 b=13.3441 c=13.3441 alpha=157.01 beta=157.01 gamma=32.74
Fractional positions:
La 0.0565 0.3065 0.7500
La 0.1904 0.4404 0.7500
La 0.3065 0.0565 0.2500
La 0.4404 0.1904 0.2500
La 0.5596 0.8096 0.7500
La 0.6935 0.9435 0.7500
La 0.8096 0.5596 0.2500
La 0.9435 0.6935 0.2500
Co 0.3750 0.6250 0.7500
Co 0.6250 0.3750 0.2500
O 0.0317 0.7817 0.2500
O 0.1317 0.3817 0.2635
O 0.1317 0.8683 0.7500
O 0.2183 0.9683 0.2500
O 0.2940 0.5440 0.7500
O 0.3817 0.1317 0.7635
O 0.3817 0.6183 0.2500
O 0.4560 0.7060 0.7500
O 0.5440 0.2940 0.2500
O 0.6183 0.3817 0.7500
O 0.6183 0.8683 0.2365
O 0.7060 0.4560 0.2500
O 0.7817 0.0317 0.7500
O 0.8683 0.1317 0.2500
O 0.8683 0.6183 0.7365
O 0.9683 0.2183 0.7500

Principal peaks in the range 10° ≤ 2θ ≤ 90°, by angle:
- 24.67 deg, I 70
- 27.87 deg, I 32
- 31.71 deg, I 100
- 33.70 deg, I 81
- 42.72 deg, I 30
- 44.28 deg, I 62
- 48.41 deg, I 41
- 59.03 deg, I 35

=====

# 2
Computed X-ray powder pattern
Compound: Li2NiW2O8
Radiation: copper Kα
Structure: the GGA+U geometry in the Materials Project

Structure:
Unit cell a=5.0227 b=5.6827 c=5.9005 alpha=70.80 beta=88.82 gamma=63.85
Fractional positions:
Li 0.0388 0.4227 0.2476
Li 0.9612 0.5773 0.7524
Ni 0.5000 0.5000 0.5000
W 0.2681 0.9745 0.8363
W 0.7319 0.0255 0.1637
O 0.1716 0.7783 0.1693
O 0.2463 0.7459 0.6913
O 0.2754 0.2610 0.5759
O 0.3159 0.2212 0.0425
O 0.6841 0.7788 0.9575
O 0.7246 0.7390 0.4241
O 0.7537 0.2541 0.3087
O 0.8284 0.2217 0.8307

Principal peaks in the range 10° ≤ 2θ ≤ 90°, by angle:
- 18.62 deg, I 100
- 19.83 deg, I 57
- 23.75 deg, I 50
- 27.51 deg, I 61
- 28.10 deg, I 61
- 32.34 deg, I 49
- 32.46 deg, I 53
- 35.74 deg, I 56

=====

# 3
Computed X-ray powder pattern
Compound: InFe2O4
Radiation: copper Kα
Structure: the GGA+U geometry in the Materials Project

Structure:
Unit cell a=8.5162 b=8.5162 c=8.5162 alpha=23.42 beta=23.42 gamma=23.42
Fractional positions:
In 0.0000 0.0000 0.0000
Fe 0.2150 0.2150 0.2150
Fe 0.7910 0.7910 0.7910
O 0.1310 0.1310 0.1310
O 0.2946 0.2946 0.2946
O 0.7116 0.7116 0.7116
O 0.8720 0.8720 0.8720

Principal peaks in the range 10° ≤ 2θ ≤ 90°, by angle:
- 21.47 deg, I 34
- 30.06 deg, I 100
- 32.44 deg, I 46
- 33.22 deg, I 85
- 34.99 deg, I 79
- 47.57 deg, I 51
- 52.97 deg, I 64
- 63.51 deg, I 37

=====

# 4
Computed X-ray powder pattern
Compound: Sr2YAlW2O7
Radiation: copper Kα
Structure: the GGA+U geometry in the Materials Project

Structure:
Unit cell a=12.2310 b=12.2310 c=12.2310 alpha=38.65 beta=152.48 gamma=153.40
Fractional positions:
Sr 0.0318 0.1613 0.1931
Sr 0.0318 0.3387 0.3706
Sr 0.9682 0.6613 0.6294
Sr 0.9682 0.8387 0.8069
Y 0.0228 0.0228 0.0000
Y 0.0228 0.5228 0.5000
Al 0.4174 0.7440 0.1734
Al 0.5705 0.2440 0.8266
W 0.5218 0.5779 0.0541
W 0.5218 0.9677 0.4439
W 0.5238 0.0779 0.5561
W 0.5238 0.4677 0.9459
O 0.0153 0.4335 0.0818
O 0.0211 0.1422 0.7310
O 0.0211 0.7900 0.3789
O 0.0255 0.4068 0.7685
O 0.0255 0.7570 0.1188
O 0.3517 0.9335 0.9182
O 0.4112 0.2900 0.2690
O 0.4112 0.6422 0.6211
O 0.4875 0.2320 0.6222
O 0.4875 0.3654 0.7555
O 0.6098 0.7320 0.2445
O 0.6098 0.8654 0.3778
O 0.6383 0.2570 0.2315
O 0.6383 0.9068 0.8812

Principal peaks in the range 10° ≤ 2θ ≤ 90°, by angle:
- 23.30 deg, I 58
- 30.74 deg, I 56
- 31.78 deg, I 73
- 32.11 deg, I 100
- 38.32 deg, I 53
- 44.81 deg, I 52
- 52.69 deg, I 24
- 55.51 deg, I 33